Entry 1:
Structure and calculated powder XRD pattern of CoPH6O6F (a cell relaxed with GGA+U; λ = 1.5418 Å (Cu Kα)).
Lines closer than 0.1° are merged.

Crystal structure
```
data_CoPH6O6F
_cell_length_a 4.805
_cell_length_b 5.672
_cell_length_c 10.368
_cell_angle_alpha 83.58
_cell_angle_beta 81.59
_cell_angle_gamma 89.85
_space_group_name_H-M_alt 'P 1'
_space_group_IT_number 1
loop_
_space_group_symop_operation_xyz
'x,y,z'
loop_
_atom_site_label
_atom_site_type_symbol
_atom_site_fract_x
_atom_site_fract_y
_atom_site_fract_z
Co1 Co 0.000 0.000 0.000
Co2 Co 0.500 0.000 0.500
P1 P 0.066 0.835 0.306
P2 P 0.934 0.165 0.694
H1 H 0.129 0.255 0.389
H2 H 0.250 0.814 0.792
H3 H 0.265 0.429 0.922
H4 H 0.341 0.460 0.407
H5 H 0.458 0.774 0.901
H6 H 0.492 0.223 0.895
H7 H 0.508 0.777 0.105
H8 H 0.542 0.226 0.099
H9 H 0.659 0.540 0.593
H10 H 0.735 0.571 0.078
H11 H 0.750 0.186 0.208
H12 H 0.871 0.745 0.611
O1 O 0.144 0.973 0.655
O2 O 0.200 0.882 0.161
O3 O 0.261 0.754 0.886
O4 O 0.278 0.771 0.399
O5 O 0.314 0.264 0.952
O6 O 0.327 0.288 0.397
O7 O 0.673 0.712 0.603
O8 O 0.686 0.736 0.048
O9 O 0.722 0.229 0.601
O10 O 0.739 0.246 0.114
O11 O 0.800 0.118 0.839
O12 O 0.856 0.027 0.345
F1 F 0.117 0.403 0.687
F2 F 0.883 0.597 0.313
```

The 10 most intense peaks (2θ from 10° to 90°), by angle:
d [Å]  two_theta  Rel. int.  h k l
5.635  15.73  100.0  0 1 0
5.096  17.40  14.1  0 0 2
3.615  24.63  33.4  1 1 1
3.584  24.84  17.6  0 1 -2
3.400  26.21  52.7  -1 1 1
3.243  27.50  37.3  1 0 -2
2.978  30.00  25.0  1 0 3
2.590  34.63  20.8  1 0 -3
2.540  35.33  24.8  1 -1 3
2.440  36.83  20.7  1 2 1

---

Entry 2:
Structure and calculated powder XRD pattern of Li4MnO2F2 (a cell relaxed with GGA+U; λ = 1.5418 Å (Cu Kα)).
Lines closer than 0.1° are merged.

Crystal structure
```
data_Li4MnO2F2
_cell_length_a 6.089
_cell_length_b 5.026
_cell_length_c 6.137
_cell_angle_alpha 90.00
_cell_angle_beta 100.61
_cell_angle_gamma 90.00
_space_group_name_H-M_alt 'P 1'
_space_group_IT_number 1
loop_
_space_group_symop_operation_xyz
'x,y,z'
loop_
_atom_site_label
_atom_site_type_symbol
_atom_site_fract_x
_atom_site_fract_y
_atom_site_fract_z
Li1 Li 0.110 0.010 0.202
Li2 Li 0.110 0.490 0.702
Li3 Li 0.336 0.524 0.077
Li4 Li 0.336 0.976 0.577
Li5 Li 0.664 0.024 0.423
Li6 Li 0.664 0.476 0.923
Li7 Li 0.890 0.510 0.298
Li8 Li 0.890 0.990 0.798
Mn1 Mn 0.500 0.000 0.000
Mn2 Mn 0.500 0.500 0.500
O1 O 0.382 0.684 0.795
O2 O 0.382 0.816 0.295
O3 O 0.618 0.184 0.705
O4 O 0.618 0.316 0.205
F1 F 0.121 0.234 0.945
F2 F 0.121 0.266 0.445
F3 F 0.879 0.734 0.555
F4 F 0.879 0.766 0.055
```

The 10 most intense peaks (2θ from 10° to 90°), by angle:
d [Å]  two_theta  Rel. int.  h k l
5.985  14.80  100.0  1 0 0
3.861  23.03  69.5  0 1 1
3.083  28.96  44.0  1 1 1
2.993  29.86  23.8  2 0 0
2.571  34.89  46.7  2 1 0
2.524  35.58  37.8  1 1 -2
2.513  35.73  31.7  2 1 -1
2.317  38.86  31.3  1 2 0
1.876  48.54  25.8  1 1 -3
1.777  51.42  48.3  1 2 2